The following is a simulated powder diffractogram of La2ErN2Cl2. It was derived from the GGA-PBE geometry in Alexandria, using Cu Kα (λ = 1.5418 Å).
Lines closer than 0.1° are merged.

Structural model:
Cell: 8.323 8.323 8.323 Å, 148.73 148.73 44.80°
Fractional coordinates of all 7 atoms:
La 0.098 0.098 0.000
La 0.902 0.902 0.000
Er 0.500 0.500 0.000
N 0.000 0.500 0.500
N 0.500 0.000 0.500
Cl 0.319 0.319 0.000
Cl 0.681 0.681 0.000

The 10 most intense peaks (2θ = 10–90°), in order of rising 2θ:
Position (°2θ)	intensity
11.5	81
26.4	25
28.1	86
30.5	19
35.4	100
40.2	40
42.0	14
54.6	56
65.8	15
83.9	16

***

The following is a simulated powder diffractogram of Ac2InPd6Pb3. It was derived from the GGA-PBE geometry in Alexandria, using Cu Kα (λ = 1.5418 Å).
Lines closer than 0.1° are merged.

Structural model:
Cell: 4.256 4.256 17.634 Å, 90.00 90.00 90.00°
Fractional coordinates of all 12 atoms:
Ac 0.000 0.000 0.194
Ac 0.000 0.000 0.806
In 0.000 0.000 0.500
Pd 0.000 0.500 0.405
Pd 0.000 0.500 0.595
Pd 0.500 0.000 0.405
Pd 0.500 0.000 0.595
Pd 0.500 0.500 0.150
Pd 0.500 0.500 0.850
Pb 0.500 0.500 0.000
Pb 0.500 0.500 0.308
Pb 0.500 0.500 0.692

The 10 most intense peaks (2θ = 10–90°), in order of rising 2θ:
Position (°2θ)	intensity
25.8	100
29.7	43
30.1	31
31.4	25
41.7	41
42.5	61
43.0	65
50.4	34
61.0	27
78.1	23

***

The following is a simulated powder diffractogram of NaPu3O7. It was derived from the GGA-PBE geometry in Alexandria, using Cu Kα (λ = 1.5418 Å).
Lines closer than 0.1° are merged.

Structural model:
Cell: 7.326 7.326 4.140 Å, 90.00 90.00 125.80°
Fractional coordinates of all 11 atoms:
Na 0.000 0.000 0.000
Pu 0.235 0.765 0.000
Pu 0.500 0.500 0.000
Pu 0.765 0.235 0.000
O 0.145 0.409 0.000
O 0.221 0.779 0.500
O 0.409 0.145 0.000
O 0.500 0.500 0.500
O 0.591 0.855 0.000
O 0.779 0.221 0.500
O 0.855 0.591 0.000

The 10 most intense peaks (2θ = 10–90°), in order of rising 2θ:
Position (°2θ)	intensity
14.9	28
21.5	100
24.4	35
26.7	54
27.4	45
34.5	42
35.0	37
38.6	52
44.6	56
59.7	41

***

The following is a simulated powder diffractogram of Zr6TlAu. It was derived from the GGA-PBE geometry in Alexandria, using Cu Kα (λ = 1.5418 Å).
Lines closer than 0.1° are merged.

Structural model:
Cell: 5.589 5.589 5.589 Å, 90.00 90.00 90.00°
Fractional coordinates of all 8 atoms:
Zr 0.000 0.246 0.500
Zr 0.000 0.754 0.500
Zr 0.246 0.500 0.000
Zr 0.500 0.000 0.246
Zr 0.500 0.000 0.754
Zr 0.754 0.500 0.000
Tl 0.500 0.500 0.500
Au 0.000 0.000 0.000

The 10 most intense peaks (2θ = 10–90°), in order of rising 2θ:
Position (°2θ)	intensity
22.5	26
32.0	44
35.9	53
39.5	100
59.6	12
62.1	53
67.0	14
76.2	15
78.4	10
80.6	13